Li4VF6: computed X-ray diffraction stick pattern (a wavelength of 1.5418 Å), based on DFT lattice parameters and positions (GGA+U).

Structure:
```
Li4VF6
1.0
5.3669 0.0000 0.0000
0.0000 8.8161 0.0000
-1.7430 0.0000 4.8573
Li V F
8 2 12
direct
0.0395 0.1670 0.3489
0.0395 0.3330 0.8489
0.4490 0.6629 0.9611
0.4490 0.8371 0.4611
0.5510 0.1629 0.5389
0.5510 0.3371 0.0389
0.9605 0.6670 0.1511
0.9605 0.8330 0.6511
0.5000 0.0000 0.0000
0.5000 0.5000 0.5000
0.2352 0.6745 0.5349
0.2352 0.8255 0.0349
0.2733 0.0072 0.5773
0.2733 0.4928 0.0773
0.3033 0.1820 0.1260
0.3033 0.3180 0.6260
0.6967 0.6819 0.3740
0.6967 0.8181 0.8740
0.7267 0.5072 0.9227
0.7267 0.9928 0.4227
0.7648 0.1745 0.9651
0.7648 0.3255 0.4651
```

Most intense lines, 10 to 90 degrees two-theta, in order of falling intensity:
- 37.03 deg, intensity 100
- 17.56 deg, intensity 94
- 46.28 deg, intensity 87
- 23.01 deg, intensity 50
- 26.84 deg, intensity 38
- 20.88 deg, intensity 37
- 46.65 deg, intensity 29
- 55.93 deg, intensity 28
- 62.58 deg, intensity 28
- 35.56 deg, intensity 23
- 40.90 deg, intensity 19
- 31.24 deg, intensity 19


LiVF6: computed X-ray diffraction stick pattern (a wavelength of 1.5418 Å), based on DFT lattice parameters and positions (GGA+U).

Structure:
```
LiVF6
1.0
9.6938 0.0000 0.0000
0.0000 8.6942 0.0000
0.0000 0.0000 5.0024
Li V F
4 4 24
direct
0.1191 0.1241 0.0000
0.3809 0.6241 0.5000
0.6191 0.3759 0.0000
0.8809 0.8759 0.5000
0.1286 0.7526 0.9855
0.3714 0.2526 0.4855
0.6286 0.7474 0.9855
0.8714 0.2474 0.4855
0.0150 0.7570 0.2765
0.0153 0.8954 0.8146
0.0319 0.6034 0.8408
0.2153 0.9255 0.1152
0.2465 0.6294 0.1636
0.2460 0.7549 0.7008
0.2535 0.1294 0.6636
0.2540 0.2549 0.2008
0.2847 0.4255 0.6152
0.4681 0.1034 0.3408
0.4850 0.2570 0.7765
0.4847 0.3954 0.3146
0.5153 0.6046 0.8146
0.5150 0.7430 0.2765
0.5319 0.8966 0.8408
0.7153 0.5745 0.1152
0.7460 0.7451 0.7008
0.7465 0.8706 0.1636
0.7540 0.2451 0.2008
0.7535 0.3706 0.6636
0.7847 0.0745 0.6152
0.9681 0.3966 0.3408
0.9847 0.1046 0.3146
0.9850 0.2430 0.7765
```

Most intense lines, 10 to 90 degrees two-theta, in order of falling intensity:
- 20.46 deg, intensity 100
- 20.98 deg, intensity 58
- 40.53 deg, intensity 56
- 25.59 deg, intensity 40
- 52.54 deg, intensity 30
- 32.96 deg, intensity 17
- 57.00 deg, intensity 10
- 64.47 deg, intensity 9
- 69.13 deg, intensity 9
- 64.27 deg, intensity 8
- 41.95 deg, intensity 7
- 51.84 deg, intensity 6


LiVF5: computed X-ray diffraction stick pattern (a wavelength of 1.5418 Å), based on DFT lattice parameters and positions (GGA+U).

Structure:
```
LiVF5
1.0
5.4773 0.0000 0.0000
-1.9524 5.3148 0.0000
-1.2170 -2.4525 6.8553
Li V F
2 2 10
direct
0.1735 0.3013 0.2318
0.8265 0.6987 0.7682
0.5000 0.0000 0.0000
0.5000 0.0000 0.5000
0.1316 0.8078 0.9740
0.2291 0.6611 0.3785
0.2653 0.1557 0.4213
0.3864 0.0219 0.7377
0.4759 0.3163 0.1188
0.5241 0.6837 0.8812
0.6136 0.9781 0.2623
0.7347 0.8443 0.5787
0.7709 0.3389 0.6215
0.8684 0.1922 0.0260
```

Most intense lines, 10 to 90 degrees two-theta, in order of falling intensity:
- 17.72 deg, intensity 100
- 17.96 deg, intensity 98
- 19.47 deg, intensity 63
- 26.10 deg, intensity 43
- 27.23 deg, intensity 28
- 26.00 deg, intensity 28
- 50.12 deg, intensity 18
- 38.09 deg, intensity 17
- 31.87 deg, intensity 16
- 30.14 deg, intensity 14
- 35.03 deg, intensity 13
- 41.10 deg, intensity 13


LiVF6: computed X-ray diffraction stick pattern (a wavelength of 1.5418 Å), based on DFT lattice parameters and positions (GGA+U).

Structure:
```
LiVF6
1.0
9.3009 0.0000 0.0000
0.0000 5.4664 0.0000
-3.0889 0.0000 4.3876
Li V F
2 2 12
direct
0.0000 0.0000 0.0000
0.5000 0.5000 0.0000
0.0000 0.5000 0.5000
0.5000 0.0000 0.5000
0.0340 0.2654 0.2999
0.0340 0.7346 0.2999
0.2337 0.5000 0.8016
0.2663 0.0000 0.1984
0.4660 0.2346 0.7001
0.4660 0.7654 0.7001
0.5340 0.2346 0.2999
0.5340 0.7654 0.2999
0.7337 0.0000 0.8016
0.7663 0.5000 0.1984
0.9660 0.2654 0.7001
0.9660 0.7346 0.7001
```

Most intense lines, 10 to 90 degrees two-theta, in order of falling intensity:
- 23.23 deg, intensity 100
- 20.00 deg, intensity 54
- 20.25 deg, intensity 52
- 23.39 deg, intensity 45
- 47.49 deg, intensity 34
- 53.60 deg, intensity 19
- 39.23 deg, intensity 17
- 38.83 deg, intensity 15
- 53.83 deg, intensity 15
- 39.28 deg, intensity 15
- 47.84 deg, intensity 14
- 69.70 deg, intensity 12


LiVF6: computed X-ray diffraction stick pattern (a wavelength of 1.5418 Å), based on DFT lattice parameters and positions (GGA+U).

Structure:
```
LiVF6
1.0
4.9600 0.0000 0.0000
-2.4800 4.2955 0.0000
0.0000 0.0000 4.6348
Li V F
1 1 6
direct
0.0000 0.0000 0.0000
0.3333 0.6667 0.5000
0.0445 0.3607 0.2703
0.0445 0.6838 0.7297
0.3162 0.3607 0.7297
0.3162 0.9555 0.2703
0.6393 0.6838 0.2703
0.6393 0.9555 0.7297
```

Most intense lines, 10 to 90 degrees two-theta, in order of falling intensity:
- 20.68 deg, intensity 100
- 41.29 deg, intensity 73
- 28.33 deg, intensity 63
- 19.15 deg, intensity 35
- 54.17 deg, intensity 34
- 60.41 deg, intensity 16
- 65.15 deg, intensity 16
- 46.61 deg, intensity 12
- 58.60 deg, intensity 12
- 72.02 deg, intensity 11
- 70.87 deg, intensity 8
- 87.09 deg, intensity 8


Li4VF6: computed X-ray diffraction stick pattern (a wavelength of 1.5418 Å), based on DFT lattice parameters and positions (GGA+U).

Structure:
```
Li4VF6
1.0
4.8194 -2.6487 0.0000
4.8194 2.6487 0.0000
-1.5707 0.0000 10.5894
Li V F
8 2 12
direct
0.1285 0.5037 0.8998
0.1361 0.8639 0.5000
0.3532 0.9712 0.7703
0.5037 0.1285 0.3998
0.5913 0.8847 0.1280
0.8639 0.1361 0.0000
0.8847 0.5913 0.6280
0.9712 0.3532 0.2703
0.1780 0.7712 0.2218
0.7712 0.1780 0.7218
0.0260 0.7423 0.7669
0.0921 0.1730 0.6273
0.1730 0.0921 0.1273
0.1917 0.5150 0.3619
0.2531 0.9904 0.3779
0.5150 0.1917 0.8619
0.5489 0.6133 0.6716
0.6133 0.5489 0.1716
0.7423 0.0260 0.2669
0.7504 0.9523 0.5440
0.9523 0.7504 0.0440
0.9904 0.2531 0.8779
```

Most intense lines, 10 to 90 degrees two-theta, in order of falling intensity:
- 16.74 deg, intensity 100
- 20.38 deg, intensity 94
- 39.17 deg, intensity 74
- 41.39 deg, intensity 48
- 26.94 deg, intensity 47
- 19.17 deg, intensity 45
- 21.49 deg, intensity 39
- 18.61 deg, intensity 36
- 37.95 deg, intensity 33
- 32.88 deg, intensity 24
- 63.30 deg, intensity 18
- 35.09 deg, intensity 18


Li6VF8: computed X-ray diffraction stick pattern (a wavelength of 1.5418 Å), based on DFT lattice parameters and positions (GGA+U).

Structure:
```
Li6VF8
1.0
0.0000 4.1994 4.1994
4.1994 0.0000 4.1994
4.1994 4.1994 0.0000
Li V F
6 1 8
direct
0.0000 0.0000 0.5000
0.0000 0.5000 0.0000
0.0000 0.5000 0.5000
0.5000 0.0000 0.0000
0.5000 0.0000 0.5000
0.5000 0.5000 0.0000
0.0000 0.0000 0.0000
0.2459 0.2459 0.7541
0.2459 0.7541 0.2459
0.2459 0.7541 0.7541
0.2500 0.2500 0.2500
0.7500 0.7500 0.7500
0.7541 0.2459 0.2459
0.7541 0.2459 0.7541
0.7541 0.7541 0.2459
```

Most intense lines, 10 to 90 degrees two-theta, in order of falling intensity:
- 43.08 deg, intensity 100
- 18.30 deg, intensity 71
- 62.56 deg, intensity 53
- 35.45 deg, intensity 32
- 37.08 deg, intensity 22
- 21.16 deg, intensity 21
- 30.10 deg, intensity 17
- 78.98 deg, intensity 15
- 47.17 deg, intensity 11
- 56.97 deg, intensity 11
- 65.78 deg, intensity 10
- 48.47 deg, intensity 8


Li4VF6: computed X-ray diffraction stick pattern (a wavelength of 1.5418 Å), based on DFT lattice parameters and positions (GGA+U).

Structure:
```
Li4VF6
1.0
7.5975 0.0000 0.0000
0.0000 14.1521 0.0000
0.0000 0.0000 3.2584
Li V F
8 2 12
direct
0.0014 0.2436 0.0000
0.2484 0.6171 0.5000
0.2516 0.1171 0.5000
0.4986 0.7436 0.0000
0.5014 0.2564 0.0000
0.7484 0.8829 0.5000
0.7516 0.3829 0.5000
0.9986 0.7564 0.0000
0.0000 0.5000 0.0000
0.5000 0.0000 0.0000
0.0627 0.1977 0.5000
0.1137 0.6398 0.0000
0.1773 0.4861 0.5000
0.3227 0.9861 0.5000
0.3863 0.1398 0.0000
0.4373 0.6977 0.5000
0.5627 0.3023 0.5000
0.6137 0.8602 0.0000
0.6773 0.0139 0.5000
0.8227 0.5139 0.5000
0.8863 0.3602 0.0000
0.9373 0.8023 0.5000
```

Most intense lines, 10 to 90 degrees two-theta, in order of falling intensity:
- 13.23 deg, intensity 100
- 22.18 deg, intensity 28
- 30.51 deg, intensity 18
- 38.56 deg, intensity 16
- 12.51 deg, intensity 16
- 17.12 deg, intensity 16
- 46.48 deg, intensity 9
- 36.89 deg, intensity 9
- 49.51 deg, intensity 9
- 45.83 deg, intensity 8
- 23.42 deg, intensity 8
- 36.32 deg, intensity 7


LiVF5: computed X-ray diffraction stick pattern (a wavelength of 1.5418 Å), based on DFT lattice parameters and positions (GGA+U).

Structure:
```
LiVF5
1.0
9.0496 0.0000 0.0000
0.0000 6.2442 0.0000
0.0000 0.0000 6.3841
Li V F
4 4 20
direct
0.1482 0.0435 0.0000
0.3518 0.5435 0.5000
0.6482 0.4565 0.0000
0.8518 0.9565 0.5000
0.0056 0.5790 0.2213
0.4944 0.0790 0.7213
0.5056 0.9210 0.2213
0.9944 0.4210 0.7213
0.0036 0.3288 0.4131
0.0084 0.8730 0.2215
0.0430 0.3271 0.0283
0.1943 0.4864 0.6944
0.2095 0.5658 0.2622
0.2905 0.0658 0.7622
0.3057 0.9864 0.1944
0.4570 0.8271 0.5283
0.4916 0.3730 0.7215
0.4964 0.8288 0.9131
0.5036 0.1712 0.4131
0.5084 0.6270 0.2215
0.5430 0.1729 0.0283
0.6943 0.0136 0.6944
0.7095 0.9342 0.2622
0.7905 0.4342 0.7622
0.8057 0.5136 0.1944
0.9570 0.6729 0.5283
0.9916 0.1270 0.7215
0.9964 0.6712 0.9131
```

Most intense lines, 10 to 90 degrees two-theta, in order of falling intensity:
- 17.25 deg, intensity 100
- 19.62 deg, intensity 60
- 19.89 deg, intensity 27
- 27.95 deg, intensity 23
- 39.85 deg, intensity 18
- 44.98 deg, intensity 18
- 45.86 deg, intensity 16
- 40.41 deg, intensity 15
- 33.02 deg, intensity 12
- 62.36 deg, intensity 12
- 49.53 deg, intensity 11
- 53.52 deg, intensity 8


LiVF5: computed X-ray diffraction stick pattern (a wavelength of 1.5418 Å), based on DFT lattice parameters and positions (GGA+U).

Structure:
```
LiVF5
1.0
5.8073 0.0000 0.0000
0.0000 9.9314 0.0000
-0.0289 0.0000 7.3208
Li V F
4 4 20
direct
0.0022 0.0000 0.0919
0.4950 0.3402 0.4474
0.5050 0.8402 0.5526
0.9978 0.5000 0.9081
0.0155 0.7213 0.3763
0.4854 0.3251 0.9175
0.5146 0.8251 0.0825
0.9845 0.2213 0.6237
0.0124 0.5431 0.3671
0.0245 0.9024 0.3179
0.2141 0.2147 0.8307
0.2253 0.7453 0.5665
0.2257 0.2376 0.4584
0.2729 0.4445 0.0179
0.2726 0.9300 0.9945
0.2902 0.7060 0.2083
0.4705 0.4126 0.6939
0.4943 0.2150 0.1097
0.5057 0.7150 0.8903
0.5295 0.9126 0.3061
0.7098 0.2060 0.7917
0.7274 0.4300 0.0055
0.7271 0.9445 0.9821
0.7743 0.7376 0.5416
0.7747 0.2453 0.4335
0.7859 0.7147 0.1693
0.9755 0.4024 0.6821
0.9876 0.0431 0.6329
```

Most intense lines, 10 to 90 degrees two-theta, in order of falling intensity:
- 15.03 deg, intensity 100
- 19.51 deg, intensity 81
- 17.86 deg, intensity 56
- 26.57 deg, intensity 26
- 21.62 deg, intensity 22
- 21.47 deg, intensity 19
- 23.57 deg, intensity 19
- 30.29 deg, intensity 17
- 40.61 deg, intensity 12
- 37.96 deg, intensity 11
- 34.43 deg, intensity 10
- 41.22 deg, intensity 10